[1]
Computed powder XRD pattern of Pm5GaPb3 for Cu Ka, from DFT lattice parameters and positions (PBE).

Top 6 peaks for 2θ from 5° to 70°, most intense first:
two_theta	d/Å	Rel. int.	index
32.6	2.751	100	1 1 2
31.4	2.845	86	2 1 1
32.3	2.770	78	3 0 0
46.5	1.952	25	2 2 2
50.0	1.823	24	2 1 3
41.4	2.180	23	3 1 1

Structural model:
Unit cell a=9.5940 b=9.5940 c=6.7147 alpha=90.00 beta=90.00 gamma=120.00
Space group P6_3/mcm (No. 193)
Symmetry-distinct sites (fractional):
Pm (0.0000, 0.2590, 0.2500)
Pm (0.3333, 0.6667, 0.0000)
Ga (0.0000, 0.0000, 0.0000)
Pb (0.0000, 0.3842, 0.7500)


[2]
Computed powder XRD pattern of PmPrMgZn for Cu Ka, from DFT lattice parameters and positions (PBE).

Top 6 peaks for 2θ from 5° to 70°, most intense first:
two_theta	d/Å	Rel. int.	index
33.2	2.696	100	1 0 2
33.9	2.644	51	1 1 0
60.2	1.536	35	2 1 2
23.8	3.739	31	1 0 0
48.7	1.869	18	2 0 0
11.4	7.786	17	0 0 1

Structural model:
Unit cell a=3.7386 b=3.7386 c=7.7856 alpha=90.00 beta=90.00 gamma=90.00
Space group P4mm (No. 99)
Symmetry-distinct sites (fractional):
Pm (0.0000, 0.0000, 0.0000)
Pr (0.0000, 0.0000, 0.5474)
Mg (0.5000, 0.5000, 0.2689)
Zn (0.5000, 0.5000, 0.7824)


[3]
Computed powder XRD pattern of Cs3KAu for Cu Ka, from DFT lattice parameters and positions (PBE).

Top 6 peaks for 2θ from 5° to 70°, most intense first:
two_theta	d/Å	Rel. int.	index
6.8	13.060	100	0 0 1
34.7	2.589	87	2 2 4
34.9	2.574	87	2 3 -1
24.4	3.653	75	2 1 1
24.3	3.668	73	0 1 3
24.5	3.631	73	0 2 -2

Structural model:
Unit cell a=7.3052 b=8.9379 c=13.6328 alpha=89.43 beta=74.59 gamma=65.89
Space group P1 (No. 1)
Symmetry-distinct sites (fractional):
Cs (0.0000, 0.0000, 0.0000)
Cs (0.1081, 0.1379, 0.6442)
Cs (0.2378, 0.2676, 0.2536)
Cs (0.4869, 0.5106, 0.5136)
Cs (0.7514, 0.7449, 0.7533)
Cs (0.8765, 0.8664, 0.3763)
K (0.3533, 0.4086, 0.8866)
K (0.6296, 0.6195, 0.1187)
Au (0.2452, 0.7489, 0.7620)
Au (0.9988, 0.4986, 0.5017)


[4]
Computed powder XRD pattern of Pr4ThTe5 for Cu Ka, from DFT lattice parameters and positions (PBE).

Top 6 peaks for 2θ from 5° to 70°, most intense first:
two_theta	d/Å	Rel. int.	index
28.0	3.190	100	1 1 0
39.9	2.262	76	1 1 10
27.8	3.208	50	0 0 10
49.4	1.845	41	2 0 10
40.0	2.256	38	2 0 0
65.4	1.427	18	3 1 0

Structural model:
Unit cell a=4.5115 b=4.5115 c=32.0755 alpha=90.00 beta=90.00 gamma=90.00
Space group I4/mmm (No. 139)
Symmetry-distinct sites (fractional):
Pr (0.0000, 0.0000, 0.1013)
Pr (0.0000, 0.0000, 0.3046)
Th (0.0000, 0.0000, 0.5000)
Te (0.0000, 0.0000, 0.0000)
Te (0.0000, 0.0000, 0.2024)
Te (0.0000, 0.0000, 0.4020)